The following is a simulated PXRD pattern of KSrHfBiO6. It was derived from a crystal structure in the Materials Project, relaxed with GGA-PBE, using Cu Kα (weighted mean of Kα1 and Kα2).
Kinematic intensities with the Lorentz-polarization factor, no thermal factor.

Top 12 peaks for 2θ = 10–90°, by angle:
4.184 Å, rel. 42, (2 0 0)
2.958 Å, rel. 100, (2 2 0)
2.416 Å, rel. 4, (2 2 2)
2.092 Å, rel. 30, (4 0 0)
1.871 Å, rel. 20, (4 2 0)
1.708 Å, rel. 41, (4 2 2)
1.479 Å, rel. 19, (4 4 0)
1.395 Å, rel. 10, (6 0 0)
1.323 Å, rel. 18, (6 2 0)
1.208 Å, rel. 6, (4 4 4)
1.160 Å, rel. 4, (6 4 0)
1.118 Å, rel. 22, (6 4 2)

Cell and atoms:
abc: 8.3677 8.3677 8.3677
angles: 90.00 90.00 90.00
Space group F-43m (No. 216)
Symmetry-distinct sites (fractional):
1 K 0.0000 0.0000 0.0000 x4
2 Sr 0.0000 0.0000 0.5000 x4
3 Hf 0.2500 0.2500 0.7500 x4
4 Bi 0.2500 0.2500 0.2500 x4
5 O 0.0029 0.2500 0.7500 x24